The following is a theoretical XRD peak list of La5Cu6S7O4. It was derived from a PBE-relaxed structure, using copper Kα.

Main lines, in order of falling intensity (5 to 70 degrees two-theta):
d = 2.884 Å, 31.00°, intensity 1000
d = 3.505 Å, 25.41°, intensity 341
d = 1.911 Å, 47.60°, intensity 325
d = 2.360 Å, 38.13°, intensity 304
d = 2.931 Å, 30.49°, intensity 259
d = 2.666 Å, 33.62°, intensity 242
d = 2.507 Å, 35.82°, intensity 214
d = 1.729 Å, 52.97°, intensity 200
d = 2.248 Å, 40.11°, intensity 178
d = 1.631 Å, 56.41°, intensity 174

Cell and atoms:
Lattice parameters (Å, degrees): 12.1141 12.1141 12.1141 99.25 86.89 153.30
Element x y z (fractional)
La (0.1781, 0.0678, 0.2465)
La (0.1781, 0.4316, 0.6102)
La (0.3214, 0.2500, 0.5714)
La (0.3286, 0.6027, 0.9391)
La (0.3286, 0.8895, 0.2260)
La (0.6635, 0.1027, 0.7740)
La (0.6635, 0.3895, 0.0609)
La (0.6786, 0.7500, 0.4286)
La (0.8213, 0.5678, 0.3898)
La (0.8213, 0.9316, 0.7535)
Cu (0.2260, 0.0724, 0.8236)
Cu (0.2260, 0.9024, 0.6536)
Cu (0.2441, 0.2441, 0.0000)
Cu (0.2441, 0.7441, 0.5000)
Cu (0.2487, 0.4024, 0.1764)
Cu (0.2487, 0.5724, 0.3464)
Cu (0.7514, 0.4277, 0.6536)
Cu (0.7514, 0.5977, 0.8236)
Cu (0.7559, 0.2559, 0.5000)
Cu (0.7559, 0.7559, 0.0000)
Cu (0.7741, 0.0977, 0.3464)
Cu (0.7741, 0.9277, 0.1764)
S (0.0772, 0.5897, 0.6675)
S (0.0772, 0.9096, 0.9875)
S (0.0946, 0.2500, 0.3447)
S (0.4120, 0.0734, 0.4857)
S (0.4120, 0.4264, 0.8386)
S (0.4425, 0.7499, 0.1926)
S (0.4606, 0.9651, 0.9954)
S (0.5573, 0.2499, 0.8074)
S (0.5877, 0.5734, 0.1614)
S (0.5877, 0.9264, 0.5143)
S (0.9053, 0.7500, 0.6553)
S (0.9222, 0.0897, 0.0125)
S (0.9222, 0.4096, 0.3325)
S (0.9697, 0.4651, 0.0046)
O (0.0000, 0.0928, 0.5927)
O (0.0000, 0.9073, 0.4073)
O (0.4997, 0.2192, 0.2199)
O (0.5000, 0.4073, 0.4073)
O (0.5000, 0.5928, 0.5927)
O (0.4997, 0.7798, 0.7805)
O (0.9993, 0.2798, 0.7801)
O (0.9993, 0.7192, 0.2195)

The following is a theoretical XRD peak list of Na2PrSiO5. It was derived from a PBE-relaxed structure, using copper Kα.

Main lines, in order of falling intensity (5 to 70 degrees two-theta):
d = 2.897 Å, 30.86°, intensity 1000
d = 3.752 Å, 23.71°, intensity 582
d = 4.779 Å, 18.57°, intensity 526
d = 5.459 Å, 16.24°, intensity 520
d = 2.951 Å, 30.29°, intensity 402
d = 1.957 Å, 46.41°, intensity 388
d = 2.249 Å, 40.10°, intensity 376
d = 3.092 Å, 28.87°, intensity 326
d = 3.447 Å, 25.85°, intensity 310
d = 4.977 Å, 17.82°, intensity 275

Cell and atoms:
Lattice parameters (Å, degrees): 9.5573 7.5044 6.6509 90.00 90.00 90.00
Element x y z (fractional)
Na (0.1749, 0.0372, 0.1246)
Na (0.1749, 0.4628, 0.1246)
Na (0.3251, 0.5372, 0.6246)
Na (0.3251, 0.9628, 0.6246)
Na (0.6749, 0.0372, 0.3754)
Na (0.6749, 0.4628, 0.3754)
Na (0.8251, 0.5372, 0.8754)
Na (0.8251, 0.9628, 0.8754)
Pr (0.0432, 0.2500, 0.6230)
Pr (0.4568, 0.7500, 0.1230)
Pr (0.5432, 0.2500, 0.8770)
Pr (0.9568, 0.7500, 0.3770)
Si (0.0919, 0.7500, 0.8204)
Si (0.4081, 0.2500, 0.3204)
Si (0.5919, 0.7500, 0.6796)
Si (0.9081, 0.2500, 0.1796)
O (0.0142, 0.2500, 0.9865)
O (0.0620, 0.5749, 0.6757)
O (0.0620, 0.9251, 0.6757)
O (0.2150, 0.7500, 0.2849)
O (0.2432, 0.2500, 0.3925)
O (0.2568, 0.7500, 0.8925)
O (0.2850, 0.2500, 0.7849)
O (0.4380, 0.0749, 0.1757)
O (0.4380, 0.4251, 0.1757)
O (0.4858, 0.7500, 0.4865)
O (0.5142, 0.2500, 0.5135)
O (0.5620, 0.5749, 0.8243)
O (0.5620, 0.9251, 0.8243)
O (0.7150, 0.7500, 0.2151)
O (0.7432, 0.2500, 0.1075)
O (0.7568, 0.7500, 0.6075)
O (0.7850, 0.2500, 0.7151)
O (0.9380, 0.0749, 0.3243)
O (0.9380, 0.4251, 0.3243)
O (0.9858, 0.7500, 0.0135)

The following is a theoretical XRD peak list of LaNdHg2. It was derived from a PBE-relaxed structure, using copper Kα.

Main lines, in order of falling intensity (5 to 70 degrees two-theta):
d = 2.745 Å, 32.62°, intensity 1000
d = 1.585 Å, 58.22°, intensity 388
d = 1.941 Å, 46.81°, intensity 185
d = 1.372 Å, 68.35°, intensity 120
d = 3.882 Å, 22.91°, intensity 34
d = 1.736 Å, 52.73°, intensity 17
d = 2.241 Å, 40.24°, intensity 12

Cell and atoms:
Lattice parameters (Å, degrees): 5.4895 5.4895 5.4895 60.00 60.00 60.00
Element x y z (fractional)
La (0.0000, 0.0000, 0.0000)
Nd (0.5000, 0.5000, 0.5000)
Hg (0.2500, 0.2500, 0.2500)
Hg (0.7500, 0.7500, 0.7500)

The following is a theoretical XRD peak list of Mg5CdN4. It was derived from a PBE-relaxed structure, using copper Kα.

Main lines, in order of falling intensity (5 to 70 degrees two-theta):
d = 2.674 Å, 33.51°, intensity 1000
d = 1.822 Å, 50.05°, intensity 778
d = 4.311 Å, 20.60°, intensity 663
d = 5.057 Å, 17.54°, intensity 569
d = 2.267 Å, 39.77°, intensity 567
d = 2.528 Å, 35.50°, intensity 393
d = 4.162 Å, 21.35°, intensity 382
d = 2.794 Å, 32.04°, intensity 302
d = 2.627 Å, 34.12°, intensity 273
d = 1.362 Å, 68.92°, intensity 205

Cell and atoms:
Lattice parameters (Å, degrees): 6.8193 7.5376 5.2550 90.00 90.00 90.00
Element x y z (fractional)
Mg (0.0015, 0.0573, 0.2449)
Mg (0.0015, 0.4427, 0.2449)
Mg (0.2500, 0.2500, 0.7592)
Mg (0.4985, 0.0573, 0.2449)
Mg (0.4985, 0.4427, 0.2449)
Mg (0.5015, 0.5573, 0.7551)
Mg (0.5015, 0.9427, 0.7551)
Mg (0.7500, 0.7500, 0.2408)
Mg (0.9985, 0.5573, 0.7551)
Mg (0.9985, 0.9427, 0.7551)
Cd (0.2500, 0.7500, 0.2237)
Cd (0.7500, 0.2500, 0.7763)
N (0.0121, 0.2500, 0.5223)
N (0.2500, 0.0152, 0.9857)
N (0.2500, 0.4848, 0.9857)
N (0.4879, 0.2500, 0.5223)
N (0.5121, 0.7500, 0.4777)
N (0.7500, 0.5152, 0.0143)
N (0.7500, 0.9848, 0.0143)
N (0.9879, 0.7500, 0.4777)

The following is a theoretical XRD peak list of B4W. It was derived from a PBE-relaxed structure, using copper Kα.

Main lines, in order of falling intensity (5 to 70 degrees two-theta):
d = 2.065 Å, 43.84°, intensity 1000
d = 2.683 Å, 33.40°, intensity 899
d = 3.774 Å, 23.57°, intensity 732
d = 3.235 Å, 27.57°, intensity 368
d = 1.549 Å, 59.70°, intensity 237
d = 1.385 Å, 67.64°, intensity 208
d = 1.397 Å, 66.98°, intensity 205
d = 4.647 Å, 19.10°, intensity 179
d = 2.187 Å, 41.29°, intensity 177
d = 1.695 Å, 54.11°, intensity 165

Cell and atoms:
Lattice parameters (Å, degrees): 5.3657 5.3657 6.4697 90.00 90.00 120.00
Element x y z (fractional)
B (0.0000, 0.3372, 0.0000)
B (0.0000, 0.3372, 0.5000)
B (0.0000, 0.6628, 0.0000)
B (0.0000, 0.6628, 0.5000)
B (0.3333, 0.6667, 0.1190)
B (0.3333, 0.6667, 0.3810)
B (0.3372, 0.0000, 0.0000)
B (0.3372, 0.0000, 0.5000)
B (0.3372, 0.3372, 0.0000)
B (0.3372, 0.3372, 0.5000)
B (0.6628, 0.0000, 0.0000)
B (0.6628, 0.0000, 0.5000)
B (0.6628, 0.6628, 0.0000)
B (0.6628, 0.6628, 0.5000)
B (0.6667, 0.3333, 0.6190)
B (0.6667, 0.3333, 0.8810)
W (0.0000, 0.0000, 0.2500)
W (0.0000, 0.0000, 0.7500)
W (0.3333, 0.6667, 0.7500)
W (0.6667, 0.3333, 0.2500)

The following is a theoretical XRD peak list of LuCoGe2. It was derived from a PBE-relaxed structure, using copper Kα.

Main lines, in order of falling intensity (5 to 70 degrees two-theta):
d = 2.567 Å, 34.95°, intensity 1000
d = 2.580 Å, 34.77°, intensity 372
d = 2.306 Å, 39.07°, intensity 300
d = 2.060 Å, 43.96°, intensity 279
d = 2.033 Å, 44.57°, intensity 259
d = 2.851 Å, 31.38°, intensity 228
d = 1.610 Å, 57.23°, intensity 175
d = 1.447 Å, 64.39°, intensity 169
d = 1.525 Å, 60.74°, intensity 163
d = 1.687 Å, 54.37°, intensity 146

Cell and atoms:
Lattice parameters (Å, degrees): 8.5904 8.5904 4.1195 90.00 90.00 152.62
Element x y z (fractional)
Lu (0.1098, 0.8902, 0.7500)
Lu (0.8902, 0.1098, 0.2500)
Co (0.3216, 0.6784, 0.7500)
Co (0.6784, 0.3216, 0.2500)
Ge (0.2514, 0.7486, 0.2500)
Ge (0.4560, 0.5440, 0.7500)
Ge (0.5440, 0.4560, 0.2500)
Ge (0.7486, 0.2514, 0.7500)

The following is a theoretical XRD peak list of Rb2TlGaBr6. It was derived from a PBE-relaxed structure, using copper Kα.

Main lines, in order of falling intensity (5 to 70 degrees two-theta):
d = 2.863 Å, 31.24°, intensity 1000
d = 2.025 Å, 44.76°, intensity 680
d = 4.049 Å, 21.95°, intensity 511
d = 5.726 Å, 15.47°, intensity 483
d = 3.306 Å, 26.97°, intensity 333
d = 2.627 Å, 34.12°, intensity 234
d = 1.653 Å, 55.60°, intensity 221
d = 2.561 Å, 35.04°, intensity 206
d = 2.338 Å, 38.51°, intensity 196
d = 3.453 Å, 25.80°, intensity 171

Cell and atoms:
Lattice parameters (Å, degrees): 8.0983 8.0983 8.0983 60.00 60.00 60.00
Element x y z (fractional)
Rb (0.2500, 0.2500, 0.2500)
Rb (0.7500, 0.7500, 0.7500)
Tl (0.0000, 0.0000, 0.0000)
Ga (0.5000, 0.5000, 0.5000)
Br (0.2747, 0.2747, 0.7253)
Br (0.2747, 0.7253, 0.2747)
Br (0.2747, 0.7253, 0.7253)
Br (0.7253, 0.2747, 0.2747)
Br (0.7253, 0.2747, 0.7253)
Br (0.7253, 0.7253, 0.2747)

The following is a theoretical XRD peak list of Sm2AgGe6. It was derived from a PBE-relaxed structure, using copper Kα.

Main lines, in order of falling intensity (5 to 70 degrees two-theta):
d = 2.739 Å, 32.69°, intensity 1000
d = 2.778 Å, 32.22°, intensity 242
d = 2.088 Å, 43.34°, intensity 236
d = 2.078 Å, 43.54°, intensity 233
d = 2.130 Å, 42.43°, intensity 195
d = 2.164 Å, 41.74°, intensity 159
d = 1.473 Å, 63.12°, intensity 151
d = 1.491 Å, 62.27°, intensity 136
d = 2.459 Å, 36.54°, intensity 135
d = 11.165 Å, 7.92°, intensity 108

Cell and atoms:
Lattice parameters (Å, degrees): 4.1752 11.3565 11.3565 21.09 90.00 90.00
Element x y z (fractional)
Sm (0.0000, 0.0000, 0.0000)
Sm (0.0000, 0.3407, 0.3407)
Ag (0.5000, 0.7813, 0.7813)
Ge (0.0000, 0.6005, 0.6005)
Ge (0.0000, 0.7126, 0.7126)
Ge (0.5000, 0.1002, 0.1002)
Ge (0.5000, 0.2125, 0.2125)
Ge (0.5000, 0.4607, 0.4607)
Ge (0.5000, 0.8928, 0.8928)